No. 1
This entry pairs a crystal structure of La6PrCd5 with its computed powder diffraction line list. Radiation: λ = 1.5418 Å (Cu Kα). Structure: a structure optimized by DFT (GGA-PBE).
Kinematic intensities with the Lorentz-polarization factor, no thermal factor.

Main lines, in order of rising 2θ (10° ≤ 2θ ≤ 90°):
(hkl), Position (°2θ), Rel. int.
0 0 3, 31.5, 20
2 0 -1, 31.9, 100
2 0 2, 45.4, 7
2 0 -4, 45.5, 7
0 4 0, 46.2, 7
1 2 4, 56.4, 14
3 2 0, 56.9, 15
0 4 3, 57.0, 7
2 4 -1, 57.3, 7
2 4 -4, 66.8, 9

Cell: 5.6129 7.8549 8.9660 Å, 90.00 108.11 90.00°
Space group P2/m (No. 10)
Unique sites:
La 0.0000 0.2310 0.0000 x2
La 0.3253 0.2484 0.6537 x4
Pr 0.5000 0.5000 0.0000 x1
Cd 0.1581 0.5000 0.3130 x2
Cd 0.1690 0.0000 0.3329 x2
Cd 0.5000 0.0000 0.0000 x1

No. 2
This entry pairs a crystal structure of LaPrCd17 with its computed powder diffraction line list. Radiation: λ = 1.5418 Å (Cu Kα). Structure: a structure optimized by DFT (GGA-PBE).
Kinematic intensities with the Lorentz-polarization factor, no thermal factor.

Main lines, in order of rising 2θ (10° ≤ 2θ ≤ 90°):
(hkl), Position (°2θ), Rel. int.
3 0 0, 30.5, 33
0 2 4, 31.4, 25
2 2 0, 35.4, 56
0 3 3, 35.5, 100
0 0 6, 35.9, 34
2 0 5, 36.3, 29
2 2 3, 39.9, 61
3 3 3, 57.6, 15
6 0 0, 63.6, 22
0 3 9, 64.3, 22

Cell: 10.1382 10.1382 15.0094 Å, 90.00 90.00 120.00°
Space group R3m (No. 160, hexagonal axes)
Unique sites:
La 0.0000 0.0000 0.0000 x3
Pr 0.0000 0.0000 0.6638 x3
Cd 0.0000 0.0000 0.2342 x3
Cd 0.0000 0.0000 0.4355 x3
Cd 0.0010 0.2997 0.3328 x18
Cd 0.0103 0.5051 0.8308 x9
Cd 0.0253 0.5126 0.4823 x9
Cd 0.1677 0.3354 0.5193 x9